This entry pairs a crystal structure of KYMg6 with its computed XRD peak list. Radiation: Cu Ka. Structure: a crystal structure in Alexandria, relaxed with PBE.

Structure:
```
KYMg6
1.0
6.916 0.000 0.000
0.000 6.916 0.000
0.000 0.000 4.728
K Y Mg
1 1 6
Direct
0.000 0.000 0.000
0.500 0.500 0.000
0.000 0.500 0.000
0.268 0.268 0.500
0.268 0.732 0.500
0.500 0.000 0.000
0.732 0.268 0.500
0.732 0.732 0.500
```

Most intense lines, 2θ from 10° to 80°, in order of rising 2θ:
| 2theta | intensity | hkl |
| --- | --- | --- |
| 12.8 | 20.7 | 1 0 0 |
| 18.1 | 17.4 | 1 1 0 |
| 18.8 | 7.8 | 0 0 1 |
| 26.2 | 13.3 | 1 1 1 |
| 32.1 | 100.0 | 2 0 1 |
| 36.8 | 33.4 | 2 2 0 |
| 38.1 | 15.7 | 0 0 2 |
| 53.0 | 10.7 | 4 0 0 |
| 54.0 | 20.9 | 2 2 2 |
| 63.3 | 23.9 | 4 2 1 |
| 65.0 | 11.7 | 2 0 3 |
| 67.1 | 10.1 | 4 0 2 |